Theoretical X-ray diffraction stick pattern
Compound: K2Rb7Na
Radiation: copper Kα
Structure: the PBE geometry in Alexandria

Peak list (6 most intense, 10 to 80 degrees two-theta, most intense first)
22.18°, intensity 100, hkl 3 1 1
24.23°, intensity 86, hkl 2 0 -4
22.93°, intensity 66, hkl 5 1 -3
22.55°, intensity 65, hkl 4 2 -1
22.48°, intensity 65, hkl 2 2 -3
21.75°, intensity 48, hkl 1 3 -1

Cell and atoms:
Cell lengths 21.136, 12.728, 15.355 Å; angles 90.00, 127.18, 90.00 degrees
Space group C2/c (No. 15)
One atom of each set of equivalent atoms:
K 0.149 0.004 0.092
Rb 0.000 0.120 0.750
Rb 0.084 0.343 0.590
Rb 0.137 0.247 0.307
Rb 0.204 0.382 0.046
Na 0.000 0.486 0.750